(1)
For Pr4ZnSe3, DFT lattice parameters and positions (GGA-PBE) gives the calculated X-ray powder pattern in this record (Cu Kα X-rays).
Neutral-atom scattering factors, no anomalous dispersion.

Top 12 peaks for 2θ from 15° to 90°, by angle:
2θ (°)  I (rel.)  (hkl)
25.48  16  1 1 2
29.51  100  2 0 0
42.22  75  2 2 0
49.97  8  3 1 2
52.35  27  2 2 4
61.20  8  4 0 0
61.33  4  0 0 8
67.43  3  3 3 2
69.39  23  4 2 0
69.50  11  2 0 8
77.19  25  4 2 4
82.82  2  5 1 2

Cell and atoms:
```
data_Pr4ZnSe3
_chemical_formula_sum 'Pr8 Zn2 Se6'
_space_group_name_H-M_alt 'I 4/m m m'
_space_group_IT_number 139
_space_group_name_Hall '-I 4 2'
_cell_length_a 6.058
_cell_length_b 6.058
_cell_length_c 12.092
_cell_angle_alpha 90.00
_cell_angle_beta 90.00
_cell_angle_gamma 90.00
loop_
_atom_site_label
_atom_site_type_symbol
_atom_site_fract_x
_atom_site_fract_y
_atom_site_fract_z
Pr1 Pr 0.000 0.000 0.247
Pr2 Pr 0.000 0.500 0.000
Zn1 Zn 0.000 0.000 0.500
Se1 Se 0.000 0.000 0.000
Se2 Se 0.000 0.500 0.250
```


(2)
For Pr5Si2, DFT lattice parameters and positions (GGA-PBE) gives the calculated X-ray powder pattern in this record (Cu Kα X-rays).
Neutral-atom scattering factors, no anomalous dispersion.

Top 12 peaks for 2θ from 15° to 90°, by angle:
2θ (°)  I (rel.)  (hkl)
25.20  16  3 1 1
25.93  26  1 1 -2
26.09  19  2 0 2
29.34  100  0 2 1
31.15  41  5 1 0
31.82  17  5 1 -1
31.98  21  2 2 1
32.60  18  3 1 2
33.68  21  4 0 2
34.39  16  5 1 1
35.91  29  1 1 -3
36.21  25  4 2 -1

Cell and atoms:
```
data_Pr5Si2
_chemical_formula_sum 'Pr20 Si8'
_space_group_name_H-M_alt 'C 1 2/c 1'
_space_group_IT_number 15
_space_group_name_Hall '-C 2yc'
_cell_length_a 16.097
_cell_length_b 6.579
_cell_length_c 8.117
_cell_angle_alpha 90.00
_cell_angle_beta 97.59
_cell_angle_gamma 90.00
loop_
_atom_site_label
_atom_site_type_symbol
_atom_site_fract_x
_atom_site_fract_y
_atom_site_fract_z
Pr1 Pr 0.000 0.108 0.250
Pr2 Pr 0.092 0.375 0.926
Pr3 Pr 0.222 0.097 0.310
Si1 Si 0.105 0.196 0.583
```


(3)
For PrSmSi2, DFT lattice parameters and positions (GGA-PBE) gives the calculated X-ray powder pattern in this record (Cu Kα X-rays).
Neutral-atom scattering factors, no anomalous dispersion.

Top 12 peaks for 2θ from 15° to 90°, by angle:
2θ (°)  I (rel.)  (hkl)
21.54  35  0 1 1
27.93  62  1 0 2
31.42  100  1 1 1
31.70  56  0 1 3
32.73  29  0 0 4
39.29  33  1 1 3
40.50  24  0 2 0
46.15  17  2 0 0
49.92  27  1 2 2
52.03  21  1 1 5
57.07  21  2 1 3
63.03  26  2 2 0

Cell and atoms:
```
data_PrSmSi2
_chemical_formula_sum 'Pr2 Sm2 Si4'
_space_group_name_H-M_alt 'A m m 2'
_space_group_IT_number 38
_space_group_name_Hall 'A 2 -2'
_cell_length_a 3.934
_cell_length_b 4.454
_cell_length_c 10.945
_cell_angle_alpha 90.00
_cell_angle_beta 90.00
_cell_angle_gamma 90.00
loop_
_atom_site_label
_atom_site_type_symbol
_atom_site_fract_x
_atom_site_fract_y
_atom_site_fract_z
Pr1 Pr 0.000 0.000 0.000
Sm1 Sm 0.500 0.000 0.280
Si1 Si 0.000 0.000 0.714
Si2 Si 0.500 0.000 0.570
```


(4)
For PrSmSi4, DFT lattice parameters and positions (GGA-PBE) gives the calculated X-ray powder pattern in this record (Cu Kα X-rays).
Neutral-atom scattering factors, no anomalous dispersion.

Top 12 peaks for 2θ from 15° to 90°, by angle:
2θ (°)  I (rel.)  (hkl)
21.81  40  1 0 1
26.15  19  0 0 4
28.69  50  1 0 3
32.43  100  1 1 2
39.21  38  1 0 5
42.33  33  2 0 0
50.44  13  2 0 4
51.59  16  1 0 7
51.94  19  2 1 3
59.06  23  2 1 5
68.86  14  2 1 7
71.18  20  3 1 2

Cell and atoms:
```
data_PrSmSi4
_chemical_formula_sum 'Pr2 Sm2 Si8'
_space_group_name_H-M_alt 'I -4 m 2'
_space_group_IT_number 119
_space_group_name_Hall 'I -4 -2'
_cell_length_a 4.271
_cell_length_b 4.271
_cell_length_c 13.630
_cell_angle_alpha 90.00
_cell_angle_beta 90.00
_cell_angle_gamma 90.00
loop_
_atom_site_label
_atom_site_type_symbol
_atom_site_fract_x
_atom_site_fract_y
_atom_site_fract_z
Pr1 Pr 0.000 0.000 0.000
Sm1 Sm 0.000 0.500 0.750
Si1 Si 0.000 0.000 0.414
Si2 Si 0.000 0.500 0.165
```